# 1
For SmEr2Rh4, a structure optimized by DFT (GGA-PBE) gives the computed PXRD pattern in this record (Cu Kα (weighted mean of Kα1 and Kα2)).

a b c (Å): 4.6438 4.6438 23.3676
angles (deg): 90.00 90.00 120.00
Space group R-3m (No. 166, hexagonal axes)
One atom of each set of equivalent atoms:
Sm (0.0000, 0.0000, 0.0000) (multiplicity 3)
Er (0.0000, 0.0000, 0.2379) (multiplicity 6)
Rh (0.0000, 0.0000, 0.1221) (multiplicity 6)
Rh (0.0000, 0.0000, 0.3781) (multiplicity 6)

Peak list (10 most intense, 10 to 80 degrees two-theta, in order of falling intensity)
2θ = 38.78°, d = 2.322 Å, I = 100.0; 2θ = 38.08°, d = 2.363 Å, I = 90.8; 2θ = 55.48°, d = 1.656 Å, I = 30.3; 2θ = 69.74°, d = 1.348 Å, I = 30.2; 2θ = 70.21°, d = 1.340 Å, I = 21.1; 2θ = 29.30°, d = 3.048 Å, I = 19.4; 2θ = 22.43°, d = 3.963 Å, I = 15.4; 2θ = 52.90°, d = 1.731 Å, I = 12.9; 2θ = 23.39°, d = 3.803 Å, I = 11.7; 2θ = 68.33°, d = 1.373 Å, I = 10.1

# 2
For SrSb2IrO8, a structure optimized by DFT (GGA-PBE) gives the computed PXRD pattern in this record (Cu Kα (weighted mean of Kα1 and Kα2)).

a b c (Å): 4.8825 6.5341 4.9294
angles (deg): 90.00 92.58 90.00
Space group P2/m (No. 10)
One atom of each set of equivalent atoms:
Sr (0.0000, 0.0000, 0.0000) (multiplicity 1)
Sb (0.5000, 0.2544, 0.5000) (multiplicity 2)
Ir (0.0000, 0.5000, 0.0000) (multiplicity 1)
O (0.2430, 0.2862, 0.1788) (multiplicity 4)
O (0.2678, 0.5000, 0.6820) (multiplicity 2)
O (0.2989, 0.0000, 0.6356) (multiplicity 2)

Peak list (10 most intense, 10 to 80 degrees two-theta, in order of falling intensity)
2θ = 32.95°, d = 2.718 Å, I = 100.0; 2θ = 25.11°, d = 3.546 Å, I = 62.8; 2θ = 26.29°, d = 3.390 Å, I = 53.3; 2θ = 49.56°, d = 1.839 Å, I = 23.4; 2θ = 49.34°, d = 1.847 Å, I = 19.7; 2θ = 50.89°, d = 1.794 Å, I = 19.5; 2θ = 50.68°, d = 1.801 Å, I = 17.1; 2θ = 36.49°, d = 2.462 Å, I = 16.8; 2θ = 13.55°, d = 6.534 Å, I = 13.3; 2θ = 36.86°, d = 2.439 Å, I = 12.5

# 3
For VZnGa, a structure optimized by DFT (GGA-PBE) gives the computed PXRD pattern in this record (Cu Kα (weighted mean of Kα1 and Kα2)).

a b c (Å): 3.2499 3.2818 8.2736
angles (deg): 90.00 90.00 90.00
Space group Pmmn (No. 59, origin choice 2)
One atom of each set of equivalent atoms:
V (0.2500, 0.2500, 0.0695) (multiplicity 2)
Zn (0.2500, 0.2500, 0.4127) (multiplicity 2)
Ga (0.2500, 0.2500, 0.7557) (multiplicity 2)

Peak list (10 most intense, 10 to 80 degrees two-theta, in order of falling intensity)
2θ = 39.00°, d = 2.309 Å, I = 100.0; 2θ = 42.83°, d = 2.111 Å, I = 74.1; 2θ = 43.01°, d = 2.103 Å, I = 73.2; 2θ = 73.16°, d = 1.294 Å, I = 27.5; 2θ = 73.55°, d = 1.288 Å, I = 27.1; 2θ = 56.05°, d = 1.641 Å, I = 16.4; 2θ = 56.64°, d = 1.625 Å, I = 15.9; 2θ = 67.98°, d = 1.379 Å, I = 8.0; 2θ = 34.90°, d = 2.571 Å, I = 3.3; 2θ = 35.11°, d = 2.556 Å, I = 3.3

# 4
For CeZr2RhN4, a structure optimized by DFT (GGA-PBE) gives the computed PXRD pattern in this record (Cu Kα (weighted mean of Kα1 and Kα2)).

a b c (Å): 3.2627 11.2895 11.3961
angles (deg): 90.00 90.00 90.00
Space group Cmcm (No. 63)
One atom of each set of equivalent atoms:
Ce (0.0000, 0.1129, 0.2500) (multiplicity 4)
Zr (0.0000, 0.3699, 0.0511) (multiplicity 8)
Rh (0.0000, 0.1498, 0.7500) (multiplicity 4)
N (0.0000, 0.0000, 0.0000) (multiplicity 4)
N (0.0000, 0.2749, 0.6124) (multiplicity 8)
N (0.0000, 0.4622, 0.2500) (multiplicity 4)

Peak list (10 most intense, 10 to 80 degrees two-theta, in order of falling intensity)
2θ = 32.61°, d = 2.746 Å, I = 100.0; 2θ = 39.84°, d = 2.263 Å, I = 92.9; 2θ = 31.70°, d = 2.822 Å, I = 55.0; 2θ = 31.40°, d = 2.849 Å, I = 39.2; 2θ = 28.32°, d = 3.152 Å, I = 35.3; 2θ = 37.32°, d = 2.409 Å, I = 23.4; 2θ = 45.22°, d = 2.005 Å, I = 23.1; 2θ = 51.79°, d = 1.765 Å, I = 22.1; 2θ = 66.18°, d = 1.412 Å, I = 19.3; 2θ = 15.55°, d = 5.698 Å, I = 19.0

# 5
For Zr4TaGe4, a structure optimized by DFT (GGA-PBE) gives the computed PXRD pattern in this record (Cu Kα (weighted mean of Kα1 and Kα2)).

a b c (Å): 7.1816 7.1816 13.1646
angles (deg): 90.00 90.00 90.00
Space group P4_1 (No. 76)
One atom of each set of equivalent atoms:
Zr (0.0022, 0.1634, 0.0000) (multiplicity 4)
Zr (0.0020, 0.3440, 0.6006) (multiplicity 4)
Zr (0.1670, 0.3295, 0.2217) (multiplicity 4)
Zr (0.3434, 0.4967, 0.4444) (multiplicity 4)
Ta (0.1586, 0.5076, 0.8440) (multiplicity 4)
Ge (0.0367, 0.1988, 0.4056) (multiplicity 4)
Ge (0.1319, 0.6972, 0.3025) (multiplicity 4)
Ge (0.2093, 0.6399, 0.6444) (multiplicity 4)
Ge (0.2992, 0.4611, 0.0365) (multiplicity 4)

Peak list (10 most intense, 10 to 80 degrees two-theta, in order of falling intensity)
2θ = 38.52°, d = 2.337 Å, I = 100.0; 2θ = 36.02°, d = 2.493 Å, I = 94.3; 2θ = 40.08°, d = 2.250 Å, I = 70.4; 2θ = 34.61°, d = 2.592 Å, I = 70.4; 2θ = 32.42°, d = 2.762 Å, I = 33.0; 2θ = 42.09°, d = 2.147 Å, I = 29.7; 2θ = 61.61°, d = 1.505 Å, I = 23.4; 2θ = 58.49°, d = 1.578 Å, I = 22.3; 2θ = 52.86°, d = 1.732 Å, I = 22.2; 2θ = 44.98°, d = 2.015 Å, I = 22.2

# 6
For UTl3Cu2Se6, a structure optimized by DFT (GGA-PBE) gives the computed PXRD pattern in this record (Cu Kα (weighted mean of Kα1 and Kα2)).

a b c (Å): 6.3442 14.7717 7.5337
angles (deg): 90.00 110.13 90.00
Space group C2/m (No. 12)
One atom of each set of equivalent atoms:
U (0.0000, 0.0000, 0.0000) (multiplicity 2)
Tl (0.0000, 0.1812, 0.5000) (multiplicity 4)
Tl (0.0000, 0.5000, 0.5000) (multiplicity 2)
Cu (0.0000, 0.4122, 0.0000) (multiplicity 4)
Se (0.2010, 0.0000, 0.7401) (multiplicity 4)
Se (0.2217, 0.3612, 0.8127) (multiplicity 8)

Peak list (10 most intense, 10 to 80 degrees two-theta, in order of falling intensity)
2θ = 29.04°, d = 3.075 Å, I = 100.0; 2θ = 31.94°, d = 2.802 Å, I = 38.9; 2θ = 40.37°, d = 2.234 Å, I = 31.5; 2θ = 11.98°, d = 7.386 Å, I = 28.5; 2θ = 46.83°, d = 1.940 Å, I = 28.3; 2θ = 17.36°, d = 5.109 Å, I = 22.0; 2θ = 30.54°, d = 2.927 Å, I = 20.6; 2θ = 24.06°, d = 3.699 Å, I = 19.7; 2θ = 25.18°, d = 3.536 Å, I = 19.5; 2θ = 46.11°, d = 1.969 Å, I = 17.4

# 7
For Tl2PdSeO4, a structure optimized by DFT (GGA-PBE) gives the computed PXRD pattern in this record (Cu Kα (weighted mean of Kα1 and Kα2)).

a b c (Å): 6.1873 11.0853 18.4690
angles (deg): 90.00 90.00 90.00
Space group Fddd (No. 70, origin choice 2)
One atom of each set of equivalent atoms:
Tl (0.1250, 0.1250, 0.2941) (multiplicity 16)
Pd (0.1250, 0.1250, 0.1250) (multiplicity 8)
Se (0.1250, 0.1250, 0.6250) (multiplicity 8)
O (0.0389, 0.2852, 0.8257) (multiplicity 32)

Peak list (10 most intense, 10 to 80 degrees two-theta, in order of falling intensity)
2θ = 21.89°, d = 4.061 Å, I = 100.0; 2θ = 33.29°, d = 2.691 Å, I = 89.9; 2θ = 33.16°, d = 2.701 Å, I = 89.7; 2θ = 41.38°, d = 2.182 Å, I = 52.6; 2θ = 31.73°, d = 2.820 Å, I = 52.4; 2θ = 53.45°, d = 1.714 Å, I = 47.9; 2θ = 17.10°, d = 5.185 Å, I = 44.5; 2θ = 32.30°, d = 2.771 Å, I = 43.2; 2θ = 58.20°, d = 1.585 Å, I = 40.6; 2θ = 28.55°, d = 3.127 Å, I = 24.2

# 8
For Rb3AgAs2O8, a structure optimized by DFT (GGA-PBE) gives the computed PXRD pattern in this record (Cu Kα (weighted mean of Kα1 and Kα2)).

a b c (Å): 5.9954 5.9954 8.0842
angles (deg): 90.00 90.00 120.00
Space group P-3m1 (No. 164)
One atom of each set of equivalent atoms:
Rb (0.0000, 0.0000, 0.0000) (multiplicity 1)
Rb (0.3333, 0.6667, 0.7066) (multiplicity 2)
Ag (0.0000, 0.0000, 0.5000) (multiplicity 1)
As (0.3333, 0.6667, 0.2618) (multiplicity 2)
O (0.1723, 0.3445, 0.3196) (multiplicity 6)
O (0.3333, 0.6667, 0.0505) (multiplicity 2)

Peak list (10 most intense, 10 to 80 degrees two-theta, in order of falling intensity)
2θ = 29.80°, d = 2.998 Å, I = 100.0; 2θ = 27.97°, d = 3.190 Å, I = 92.9; 2θ = 41.33°, d = 2.184 Å, I = 44.5; 2θ = 51.79°, d = 1.765 Å, I = 31.9; 2θ = 54.78°, d = 1.676 Å, I = 24.1; 2θ = 52.90°, d = 1.731 Å, I = 19.2; 2θ = 61.91°, d = 1.499 Å, I = 17.0; 2θ = 69.26°, d = 1.357 Å, I = 13.8; 2θ = 10.94°, d = 8.084 Å, I = 11.3; 2θ = 71.81°, d = 1.315 Å, I = 10.5